1.
This entry pairs a crystal structure of Te2MoW3Se2S4 with its simulated powder X-ray diffraction pattern. Radiation: Cu Kα (λ = 1.5418 Å). Structure: a structure optimized by DFT (PBE).
No peak broadening, texture or thermal motion is included.

Largest 6 diffraction maxima, in order of rising 2θ, 2θ from 10° to 90°:
d/Å, Position (°2θ), I_rel, h k l
7.382, 11.99, 100, 0 0 4
2.865, 31.22, 26, 1 0 0
2.671, 33.56, 14, 1 0 4
2.476, 36.29, 64, 0 1 6
2.056, 44.04, 42, 0 1 10
1.654, 55.57, 19, 1 1 0

Atomic structure:
Cell lengths 3.308, 3.308, 29.527 Å; angles 90.00, 90.00, 120.00 degrees
Positions (direct):
Te 0.000 0.000 0.000
Te 0.000 0.000 0.130
Mo 0.000 0.000 0.812
W 0.000 0.000 0.323
W 0.333 0.667 0.065
W 0.333 0.667 0.567
Se 0.000 0.000 0.510
Se 0.000 0.000 0.624
S 0.333 0.667 0.271
S 0.333 0.667 0.375
S 0.333 0.667 0.760
S 0.333 0.667 0.863

***

2.
This entry pairs a crystal structure of Te2MoW3Se2S4 with its simulated powder X-ray diffraction pattern. Radiation: Cu Kα (λ = 1.5418 Å). Structure: a structure optimized by DFT (PBE).
No peak broadening, texture or thermal motion is included.

Largest 6 diffraction maxima, in order of rising 2θ, 2θ from 10° to 90°:
d/Å, Position (°2θ), I_rel, h k l
7.378, 11.99, 100, 0 0 5
2.860, 31.27, 34, 1 0 0
2.516, 35.69, 30, 0 1 7
2.432, 36.96, 56, 1 0 8
2.015, 44.98, 32, 0 1 13
1.652, 55.62, 23, 1 1 0

Atomic structure:
Cell lengths 3.306, 3.306, 36.891 Å; angles 90.00, 90.00, 120.00 degrees
Positions (direct):
Te 0.000 0.000 0.000
Te 0.000 0.000 0.104
Mo 0.000 0.000 0.850
W 0.000 0.000 0.250
W 0.333 0.667 0.052
W 0.333 0.667 0.438
Se 0.333 0.667 0.804
Se 0.333 0.667 0.895
S 0.000 0.000 0.397
S 0.000 0.000 0.480
S 0.333 0.667 0.209
S 0.333 0.667 0.292